This entry pairs a crystal structure of K2Hg7 with its theoretical XRD peak list. Radiation: Cu Kα (weighted mean of Kα1 and Kα2). Structure: a PBE-relaxed structure.
Kinematic intensities with the Lorentz-polarization factor, no thermal factor.

The 6 most intense peaks (15 to 90 degrees two-theta), by angle:
- hkl 0 1 1, 2θ = 19.73°, d = 4.500 Å, rel. 34
- hkl 1 1 1, 2θ = 28.46°, d = 3.137 Å, rel. 23
- hkl 1 0 2, 2θ = 30.87°, d = 2.897 Å, rel. 22
- hkl 0 2 1, 2θ = 31.99°, d = 2.798 Å, rel. 100
- hkl 2 0 2, 2θ = 40.08°, d = 2.250 Å, rel. 46
- hkl 2 2 0, 2θ = 51.15°, d = 1.786 Å, rel. 26

Cell and atoms:
Cell: 7.1433 7.1433 6.5571 Å, 90.00 90.00 120.00°
Sites, in units of the cell vectors:
K 0.3333 0.6667 0.3411
K 0.6667 0.3333 0.6589
Hg 0.0000 0.0000 0.5000
Hg 0.1820 0.3641 0.8325
Hg 0.1820 0.8180 0.8325
Hg 0.3641 0.1820 0.1675
Hg 0.6359 0.8180 0.8325
Hg 0.8180 0.1820 0.1675
Hg 0.8180 0.6359 0.1675